[1]
# TiO2
Theoretical powder XRD pattern, λ = 1.5418 Å (Cu Kα). Input: DFT lattice parameters and positions (PBE).
Lines closer than 0.1° are merged.

Atomic structure:
```
TiO2
1.0
-2.9732 3.2874 3.2874
2.9732 -3.2874 3.2874
2.9732 3.2874 -3.2874
Ti O
4 8
Direct
0.0000 0.0000 0.5000
0.0000 0.5000 0.0000
0.4952 0.2452 0.2500
0.5048 0.7548 0.7500
0.1955 0.2504 0.9451
0.1947 0.7496 0.4451
0.3049 0.3048 0.4999
0.3049 0.8051 0.0001
0.6951 0.1949 0.9999
0.6951 0.6952 0.5001
0.8053 0.2504 0.5549
0.8045 0.7496 0.0549
```

Peak list (10 most intense, 5 to 70 degrees two-theta, by angle)
- 2θ 27.13, intensity 100
- 2θ 35.85, intensity 45
- 2θ 40.93, intensity 19
- 2θ 43.53, intensity 7
- 2θ 53.80, intensity 58
- 2θ 55.94, intensity 18
- 2θ 62.47, intensity 8
- 2θ 63.25, intensity 9
- 2θ 68.25, intensity 22
- 2θ 69.38, intensity 11

***

[2]
# Ti3O
Theoretical powder XRD pattern, λ = 1.5418 Å (Cu Kα). Input: DFT lattice parameters and positions (PBE).
Lines closer than 0.1° are merged.

Atomic structure:
```
Ti3O
1.0
5.1577 0.0000 0.0000
-2.5789 4.4667 0.0000
0.0000 0.0000 9.5074
Ti O
12 4
Direct
0.0057 0.3338 0.1173
0.0057 0.6719 0.3827
0.3281 0.3338 0.3827
0.3281 0.9943 0.1173
0.3338 0.0057 0.6173
0.3338 0.3281 0.8827
0.6662 0.6719 0.1173
0.6662 0.9943 0.3827
0.6719 0.0057 0.8827
0.6719 0.6662 0.6173
0.9943 0.3281 0.6173
0.9943 0.6662 0.8827
0.0000 0.0000 0.2500
0.0000 0.0000 0.7500
0.3333 0.6667 0.2500
0.6667 0.3333 0.7500
```

Peak list (9 most intense, 5 to 70 degrees two-theta, by angle)
- 2θ 19.88, intensity 1
- 2θ 21.99, intensity 3
- 2θ 34.79, intensity 14
- 2θ 37.85, intensity 19
- 2θ 39.77, intensity 100
- 2θ 52.35, intensity 21
- 2θ 58.22, intensity 1
- 2θ 62.37, intensity 18
- 2θ 69.64, intensity 14

***

[3]
# TiO
Theoretical powder XRD pattern, λ = 1.5418 Å (Cu Kα). Input: DFT lattice parameters and positions (PBE).
Lines closer than 0.1° are merged.

Atomic structure:
```
TiO
1.0
-1.4107 1.4107 17.5278
1.4107 -1.4107 17.5278
1.4107 1.4107 -17.5278
Ti O
6 6
Direct
0.0705 0.0705 0.0000
0.2182 0.2182 0.0000
0.3635 0.3635 0.0000
0.6365 0.6365 0.0000
0.7818 0.7818 0.0000
0.9295 0.9295 0.0000
0.1542 0.1542 0.0000
0.2970 0.2970 0.0000
0.4447 0.4447 0.0000
0.5553 0.5553 0.0000
0.7030 0.7030 0.0000
0.8458 0.8458 0.0000
```

Peak list (10 most intense, 5 to 70 degrees two-theta, by angle)
- 2θ 5.04, intensity 100
- 2θ 10.09, intensity 19
- 2θ 15.16, intensity 10
- 2θ 35.86, intensity 29
- 2θ 36.56, intensity 46
- 2θ 45.47, intensity 43
- 2θ 46.59, intensity 17
- 2θ 59.22, intensity 23
- 2θ 64.91, intensity 12
- 2θ 66.25, intensity 12

***

[4]
# TiO2
Theoretical powder XRD pattern, λ = 1.5418 Å (Cu Kα). Input: DFT lattice parameters and positions (PBE).
Lines closer than 0.1° are merged.

Atomic structure:
```
TiO2
1.0
3.0108 1.7383 4.7604
-3.0108 1.7383 4.7604
0.0000 -3.4765 4.7604
Ti O
4 8
Direct
0.0000 0.0000 0.0000
0.3887 0.3887 0.8569
0.3887 0.8569 0.3887
0.8569 0.3887 0.3887
0.1231 0.1231 0.6278
0.1231 0.6278 0.1231
0.1399 0.1399 0.1399
0.1807 0.6313 0.6313
0.6229 0.6229 0.6229
0.6278 0.1231 0.1231
0.6313 0.1807 0.6313
0.6313 0.6313 0.1807
```

Peak list (10 most intense, 5 to 70 degrees two-theta, by angle)
- 2θ 18.64, intensity 100
- 2θ 21.10, intensity 76
- 2θ 30.34, intensity 38
- 2θ 34.98, intensity 76
- 2θ 35.27, intensity 38
- 2θ 35.85, intensity 15
- 2θ 42.95, intensity 66
- 2θ 57.34, intensity 27
- 2θ 61.61, intensity 37
- 2θ 63.12, intensity 31

***

[5]
# TiO2
Theoretical powder XRD pattern, λ = 1.5418 Å (Cu Kα). Input: DFT lattice parameters and positions (PBE).
Lines closer than 0.1° are merged.

Atomic structure:
```
TiO2
1.0
5.2540 0.0000 0.0000
0.0000 3.1672 0.0000
0.0000 0.0000 6.2878
Ti O
4 8
Direct
0.2485 0.2500 0.1062
0.2515 0.7500 0.6062
0.7485 0.2500 0.3938
0.7515 0.7500 0.8938
0.0156 0.2500 0.8469
0.1372 0.2500 0.4194
0.3628 0.7500 0.9194
0.4844 0.7500 0.3469
0.5156 0.2500 0.6531
0.6372 0.2500 0.0806
0.8628 0.7500 0.5806
0.9844 0.7500 0.1531
```

Peak list (10 most intense, 5 to 70 degrees two-theta, by angle)
- 2θ 31.63, intensity 51
- 2θ 33.21, intensity 90
- 2θ 34.13, intensity 41
- 2θ 36.06, intensity 92
- 2θ 47.22, intensity 100
- 2θ 52.34, intensity 57
- 2θ 58.26, intensity 39
- 2θ 60.51, intensity 38
- 2θ 62.36, intensity 37
- 2θ 63.98, intensity 47

***

[6]
# TiO2
Theoretical powder XRD pattern, λ = 1.5418 Å (Cu Kα). Input: DFT lattice parameters and positions (PBE).
Lines closer than 0.1° are merged.

Atomic structure:
```
TiO2
1.0
6.0208 0.0000 0.0000
-3.0104 5.2142 0.0000
0.0000 0.0000 14.7842
Ti O
12 24
Direct
0.0000 0.0000 0.0000
0.0000 0.0000 0.3632
0.1777 0.3554 0.2085
0.1777 0.8223 0.2085
0.3248 0.1624 0.5389
0.5051 0.0102 0.8761
0.5051 0.4949 0.8761
0.6446 0.8223 0.2085
0.6667 0.3333 0.6971
0.8376 0.1624 0.5389
0.8376 0.6752 0.5389
0.9898 0.4949 0.8761
0.0000 0.0000 0.1275
0.0000 0.0000 0.6113
0.0236 0.5118 0.1491
0.1478 0.2956 0.4716
0.1478 0.8522 0.4716
0.1611 0.3221 0.9482
0.1611 0.8389 0.9482
0.2845 0.1423 0.2907
0.3333 0.6667 0.2825
0.3333 0.6667 0.8204
0.3799 0.1899 0.8041
0.4882 0.5118 0.1491
0.4882 0.9764 0.1491
0.5221 0.0442 0.6248
0.5221 0.4779 0.6248
0.6667 0.3333 0.4793
0.6667 0.3333 0.9476
0.6779 0.8389 0.9482
0.7044 0.8522 0.4716
0.8101 0.1899 0.8041
0.8101 0.6201 0.8041
0.8577 0.1423 0.2907
0.8577 0.7155 0.2907
0.9558 0.4779 0.6248
```

Peak list (10 most intense, 5 to 70 degrees two-theta, by angle)
- 2θ 17.00, intensity 7
- 2θ 18.02, intensity 100
- 2θ 20.85, intensity 12
- 2θ 34.93, intensity 46
- 2θ 42.43, intensity 53
- 2θ 56.03, intensity 9
- 2θ 56.09, intensity 14
- 2θ 61.51, intensity 15
- 2θ 61.62, intensity 17
- 2θ 64.76, intensity 7